[1]
# Ca2InHg4
Simulated powder diffractogram, Cu Kα, 1.54184 Å. Input: a structure optimized by DFT (GGA-PBE).

Top 8 peaks for 10 to 90 degrees two-theta, low angle first:
- 24.39 deg, 3.649 Å, rel. 80, (1 0 4)
- 34.55 deg, 2.596 Å, rel. 100, (1 1 0)
- 34.99 deg, 2.565 Å, rel. 85, (0 1 8)
- 42.75 deg, 2.115 Å, rel. 19, (0 2 4)
- 49.99 deg, 1.824 Å, rel. 31, (2 0 8)
- 56.08 deg, 1.640 Å, rel. 18, (2 1 4)
- 61.91 deg, 1.499 Å, rel. 19, (3 0 0)
- 62.19 deg, 1.493 Å, rel. 32, (1 2 8)

Structural model:
```
data_Ca2InHg4
_cell_length_a 5.1922
_cell_length_b 5.1922
_cell_length_c 24.9776
_cell_angle_alpha 90.00
_cell_angle_beta 90.00
_cell_angle_gamma 120.00
_space_group_name_H-M_alt 'R -3 m'
_space_group_IT_number 166
_space_group_name_Hall '-R 3 2"'
loop_
_atom_site_label
_atom_site_fract_x
_atom_site_fract_y
_atom_site_fract_z
Ca1 0.0000 0.0000 0.2445
In1 0.0000 0.0000 0.5000
Hg1 0.0000 0.0000 0.1153
Hg2 0.0000 0.0000 0.3698
```

[2]
# CaInHg3
Simulated powder diffractogram, Cu Kα, 1.54184 Å. Input: a structure optimized by DFT (GGA-PBE).

Top 8 peaks for 10 to 90 degrees two-theta, low angle first:
- 18.27 deg, 4.855 Å, rel. 57, (1 1 0)
- 32.32 deg, 2.770 Å, rel. 34, (5 1 -1)
- 32.71 deg, 2.738 Å, rel. 43, (2 0 -2)
- 33.31 deg, 2.690 Å, rel. 100, (5 1 1)
- 35.88 deg, 2.503 Å, rel. 60, (0 2 0)
- 36.77 deg, 2.444 Å, rel. 32, (1 1 -2)
- 39.16 deg, 2.300 Å, rel. 51, (7 1 -1)
- 49.34 deg, 1.847 Å, rel. 28, (2 2 -2)

Structural model:
```
data_CaInHg3
_cell_length_a 19.9827
_cell_length_b 5.0055
_cell_length_c 5.6278
_cell_angle_alpha 90.00
_cell_angle_beta 92.52
_cell_angle_gamma 90.00
_space_group_name_H-M_alt 'C 1 2/m 1'
_space_group_IT_number 12
_space_group_name_Hall '-C 2y'
loop_
_atom_site_label
_atom_site_fract_x
_atom_site_fract_y
_atom_site_fract_z
Ca1 0.1059 0.0000 0.0068
In1 0.1301 0.5000 0.4422
Hg1 0.0151 0.5000 0.7588
Hg2 0.2002 0.0000 0.5286
Hg3 0.2098 0.5000 0.9590
```

[3]
# Ca4In2Hg
Simulated powder diffractogram, Cu Kα, 1.54184 Å. Input: a structure optimized by DFT (GGA-PBE).

Top 8 peaks for 10 to 90 degrees two-theta, low angle first:
- 19.29 deg, 4.602 Å, rel. 40, (1 0 1)
- 23.23 deg, 3.829 Å, rel. 44, (1 0 4)
- 25.32 deg, 3.518 Å, rel. 21, (0 1 5)
- 32.96 deg, 2.718 Å, rel. 100, (0 1 8)
- 33.21 deg, 2.698 Å, rel. 98, (1 1 0)
- 34.75 deg, 2.582 Å, rel. 19, (1 1 3)
- 47.49 deg, 1.915 Å, rel. 35, (2 0 8)
- 59.18 deg, 1.561 Å, rel. 35, (1 2 8)

Structural model:
```
data_Ca4In2Hg
_cell_length_a 5.3951
_cell_length_b 5.3951
_cell_length_c 26.7296
_cell_angle_alpha 90.00
_cell_angle_beta 90.00
_cell_angle_gamma 120.00
_space_group_name_H-M_alt 'R -3 m'
_space_group_IT_number 166
_space_group_name_Hall '-R 3 2"'
loop_
_atom_site_label
_atom_site_fract_x
_atom_site_fract_y
_atom_site_fract_z
Ca1 0.0000 0.0000 0.1249
Ca2 0.0000 0.0000 0.3746
In1 0.0000 0.0000 0.2500
Hg1 0.0000 0.0000 0.0000
```

[4]
# Ca6InHg
Simulated powder diffractogram, Cu Kα, 1.54184 Å. Input: a structure optimized by DFT (GGA-PBE).

Top 8 peaks for 10 to 90 degrees two-theta, low angle first:
- 19.11 deg, 4.644 Å, rel. 18, (0 0 4)
- 22.87 deg, 3.888 Å, rel. 18, (1 1 0)
- 24.83 deg, 3.587 Å, rel. 16, (1 1 2)
- 29.97 deg, 2.981 Å, rel. 100, (1 1 4)
- 32.57 deg, 2.749 Å, rel. 46, (2 0 0)
- 34.01 deg, 2.636 Å, rel. 21, (2 0 2)
- 37.12 deg, 2.422 Å, rel. 28, (1 1 6)
- 56.51 deg, 1.628 Å, rel. 31, (3 1 4)

Structural model:
```
data_Ca6InHg
_cell_length_a 5.4986
_cell_length_b 5.4986
_cell_length_c 18.5748
_cell_angle_alpha 90.00
_cell_angle_beta 90.00
_cell_angle_gamma 90.00
_space_group_name_H-M_alt 'I 4/m m m'
_space_group_IT_number 139
_space_group_name_Hall '-I 4 2'
loop_
_atom_site_label
_atom_site_fract_x
_atom_site_fract_y
_atom_site_fract_z
Ca1 0.0000 0.0000 0.2483
Ca2 0.0000 0.5000 0.0982
In1 0.0000 0.0000 0.0000
Hg1 0.0000 0.0000 0.5000
```

[5]
# Ca2In2Hg
Simulated powder diffractogram, Cu Kα, 1.54184 Å. Input: a structure optimized by DFT (GGA-PBE).

Top 8 peaks for 10 to 90 degrees two-theta, low angle first:
- 11.41 deg, 7.755 Å, rel. 44, (0 0 2)
- 19.12 deg, 4.642 Å, rel. 47, (0 1 1)
- 24.41 deg, 3.647 Å, rel. 55, (1 0 0)
- 31.19 deg, 2.868 Å, rel. 86, (1 1 1)
- 33.74 deg, 2.657 Å, rel. 35, (1 0 4)
- 34.29 deg, 2.615 Å, rel. 100, (0 1 5)
- 36.96 deg, 2.432 Å, rel. 42, (0 2 0)
- 42.53 deg, 2.125 Å, rel. 56, (1 1 5)

Structural model:
```
data_Ca2In2Hg
_cell_length_a 3.6471
_cell_length_b 4.8646
_cell_length_c 15.5099
_cell_angle_alpha 90.00
_cell_angle_beta 90.00
_cell_angle_gamma 90.00
_space_group_name_H-M_alt 'A m m 2'
_space_group_IT_number 38
_space_group_name_Hall 'A 2 -2'
loop_
_atom_site_label
_atom_site_fract_x
_atom_site_fract_y
_atom_site_fract_z
Ca1 0.0000 0.0000 0.0000
Ca2 0.0000 0.0000 0.2322
In1 0.5000 0.0000 0.6161
In2 0.5000 0.0000 0.8158
Hg1 0.5000 0.0000 0.4190
```

[6]
# Ca3InHg8
Simulated powder diffractogram, Cu Kα, 1.54184 Å. Input: a structure optimized by DFT (GGA-PBE).

Top 8 peaks for 10 to 90 degrees two-theta, low angle first:
- 17.83 deg, 4.974 Å, rel. 14, (2 0 0)
- 24.29 deg, 3.664 Å, rel. 21, (1 2 1)
- 31.78 deg, 2.816 Å, rel. 33, (0 4 0)
- 32.45 deg, 2.759 Å, rel. 32, (0 0 2)
- 35.37 deg, 2.538 Å, rel. 100, (3 2 1)
- 46.05 deg, 1.971 Å, rel. 24, (0 4 2)
- 58.96 deg, 1.566 Å, rel. 23, (3 6 1)
- 59.79 deg, 1.547 Å, rel. 24, (3 2 3)

Structural model:
```
data_Ca3InHg8
_cell_length_a 9.9486
_cell_length_b 11.2630
_cell_length_c 5.5188
_cell_angle_alpha 90.00
_cell_angle_beta 90.00
_cell_angle_gamma 90.00
_space_group_name_H-M_alt 'I m m 2'
_space_group_IT_number 44
_space_group_name_Hall 'I 2 -2'
loop_
_atom_site_label
_atom_site_fract_x
_atom_site_fract_y
_atom_site_fract_z
Ca1 0.0000 0.0000 0.0000
Ca2 0.0000 0.2565 0.5011
In1 0.0000 0.5000 0.9998
Hg1 0.1686 0.2467 0.0012
Hg2 0.1705 0.5000 0.4998
Hg3 0.1706 0.0000 0.4994
```

[7]
# CaIn12Hg4
Simulated powder diffractogram, Cu Kα, 1.54184 Å. Input: a structure optimized by DFT (GGA-PBE).

Top 8 peaks for 10 to 90 degrees two-theta, low angle first:
- 17.69 deg, 5.013 Å, rel. 38, (0 2 1)
- 25.12 deg, 3.545 Å, rel. 38, (2 0 2)
- 28.15 deg, 3.171 Å, rel. 100, (1 2 2)
- 33.44 deg, 2.680 Å, rel. 28, (4 1 0)
- 40.23 deg, 2.242 Å, rel. 85, (2 2 3)
- 44.26 deg, 2.047 Å, rel. 59, (6 -2 2)
- 46.17 deg, 1.966 Å, rel. 39, (3 -1 4)
- 58.20 deg, 1.585 Å, rel. 20, (6 -4 4)

Structural model:
```
data_CaIn12Hg4
_cell_length_a 14.1880
_cell_length_b 14.1880
_cell_length_c 8.6718
_cell_angle_alpha 90.00
_cell_angle_beta 90.00
_cell_angle_gamma 120.00
_space_group_name_H-M_alt 'R -3'
_space_group_IT_number 148
_space_group_name_Hall '-R 3'
loop_
_atom_site_label
_atom_site_fract_x
_atom_site_fract_y
_atom_site_fract_z
Ca1 0.0000 0.0000 0.0000
In1 0.0168 0.1845 0.3355
In2 0.0485 0.5996 0.8013
Hg1 0.0000 0.0000 0.5000
Hg2 0.0000 0.5000 0.5000
```

[8]
# Ca4In5Hg6
Simulated powder diffractogram, Cu Kα, 1.54184 Å. Input: a structure optimized by DFT (GGA-PBE).

Top 8 peaks for 10 to 90 degrees two-theta, low angle first:
- 18.68 deg, 4.749 Å, rel. 43, (0 4 2)
- 20.90 deg, 4.251 Å, rel. 38, (1 1 0)
- 24.14 deg, 3.687 Å, rel. 54, (1 3 1)
- 32.74 deg, 2.735 Å, rel. 100, (1 5 3)
- 36.06 deg, 2.491 Å, rel. 53, (1 5 4)
- 37.81 deg, 2.379 Å, rel. 68, (1 7 3)
- 38.48 deg, 2.339 Å, rel. 36, (0 10 1)
- 41.81 deg, 2.161 Å, rel. 67, (2 0 0)

Structural model:
```
data_Ca4In5Hg6
_cell_length_a 4.3213
_cell_length_b 23.6491
_cell_length_c 15.9477
_cell_angle_alpha 90.00
_cell_angle_beta 90.00
_cell_angle_gamma 90.00
_space_group_name_H-M_alt 'C m c 21'
_space_group_IT_number 36
_space_group_name_Hall 'C 2c -2'
loop_
_atom_site_label
_atom_site_fract_x
_atom_site_fract_y
_atom_site_fract_z
Ca1 0.0000 0.0290 0.0000
Ca2 0.0000 0.0570 0.2754
Ca3 0.0000 0.1302 0.7700
Ca4 0.0000 0.1849 0.4373
In1 0.0000 0.1799 0.1153
In2 0.0000 0.3161 0.1018
In3 0.0000 0.3269 0.7784
In4 0.0000 0.3611 0.4501
In5 0.0000 0.4678 0.1604
Hg1 0.0000 0.0948 0.5748
Hg2 0.0000 0.2215 0.9306
Hg3 0.0000 0.2659 0.2708
Hg4 0.0000 0.4084 0.6262
Hg5 0.0000 0.4225 0.9306
Hg6 0.0000 0.4630 0.3451
```

[9]
# CaIn2Hg3
Simulated powder diffractogram, Cu Kα, 1.54184 Å. Input: a structure optimized by DFT (GGA-PBE).

Top 8 peaks for 10 to 90 degrees two-theta, low angle first:
- 23.74 deg, 3.749 Å, rel. 16, (1 3 0)
- 32.82 deg, 2.729 Å, rel. 26, (0 6 0)
- 34.08 deg, 2.630 Å, rel. 100, (1 3 2)
- 34.79 deg, 2.579 Å, rel. 24, (2 0 0)
- 48.57 deg, 1.874 Å, rel. 18, (2 6 0)
- 59.40 deg, 1.556 Å, rel. 18, (1 9 2)
- 61.93 deg, 1.498 Å, rel. 18, (3 3 2)
- 71.77 deg, 1.315 Å, rel. 11, (2 6 4)

Structural model:
```
data_CaIn2Hg3
_cell_length_a 5.1570
_cell_length_b 16.3753
_cell_length_c 7.3841
_cell_angle_alpha 90.00
_cell_angle_beta 90.00
_cell_angle_gamma 90.00
_space_group_name_H-M_alt 'C m m m'
_space_group_IT_number 65
_space_group_name_Hall '-C 2 2'
loop_
_atom_site_label
_atom_site_fract_x
_atom_site_fract_y
_atom_site_fract_z
Ca1 0.0000 0.1592 0.0000
In1 0.0000 0.1559 0.5000
In2 0.0000 0.5000 0.0000
In3 0.0000 0.5000 0.5000
Hg1 0.0000 0.0000 0.2492
Hg2 0.0000 0.3251 0.2545
```

[10]
# CaIn3Hg9
Simulated powder diffractogram, Cu Kα, 1.54184 Å. Input: a structure optimized by DFT (GGA-PBE).

Top 8 peaks for 10 to 90 degrees two-theta, low angle first:
- 25.17 deg, 3.538 Å, rel. 95, (2 2 0)
- 29.34 deg, 3.044 Å, rel. 73, (4 0 -4)
- 33.07 deg, 2.709 Å, rel. 92, (1 3 0)
- 33.54 deg, 2.672 Å, rel. 96, (0 0 4)
- 33.72 deg, 2.658 Å, rel. 79, (5 1 -4)
- 34.13 deg, 2.627 Å, rel. 100, (4 2 0)
- 34.76 deg, 2.581 Å, rel. 92, (5 1 0)
- 45.03 deg, 2.013 Å, rel. 47, (1 3 -4)

Structural model:
```
data_CaIn3Hg9
_cell_length_a 16.1226
_cell_length_b 8.2922
_cell_length_c 12.6914
_cell_angle_alpha 90.00
_cell_angle_beta 122.63
_cell_angle_gamma 90.00
_space_group_name_H-M_alt 'C 1 c 1'
_space_group_IT_number 9
_space_group_name_Hall 'C -2yc'
loop_
_atom_site_label
_atom_site_fract_x
_atom_site_fract_y
_atom_site_fract_z
Ca1 0.0000 0.0105 0.0000
In1 0.0986 0.3492 0.2222
In2 0.4005 0.2001 0.7376
In3 0.4028 0.2051 0.2357
Hg1 0.0827 0.2914 0.7054
Hg2 0.1061 0.3081 0.4759
Hg3 0.1143 0.3229 0.9765
Hg4 0.1878 0.0233 0.2851
Hg5 0.2218 0.0040 0.0542
Hg6 0.2836 0.4985 0.2401
Hg7 0.2949 0.4680 0.5030
Hg8 0.3605 0.2053 0.9551
Hg9 0.3924 0.1568 0.4753
```

[11]
# CaIn2Hg2
Simulated powder diffractogram, Cu Kα, 1.54184 Å. Input: a structure optimized by DFT (GGA-PBE).

Top 8 peaks for 10 to 90 degrees two-theta, low angle first:
- 20.75 deg, 4.282 Å, rel. 34, (1 0 1)
- 32.64 deg, 2.744 Å, rel. 100, (0 1 5)
- 35.20 deg, 2.549 Å, rel. 84, (1 1 0)
- 47.35 deg, 1.920 Å, rel. 16, (1 1 6)
- 48.76 deg, 1.868 Å, rel. 32, (2 0 5)
- 56.55 deg, 1.627 Å, rel. 19, (1 0 10)
- 61.55 deg, 1.507 Å, rel. 32, (1 2 5)
- 63.17 deg, 1.472 Å, rel. 15, (3 0 0)

Structural model:
```
data_CaIn2Hg2
_cell_length_a 5.0989
_cell_length_b 5.0989
_cell_length_c 17.5066
_cell_angle_alpha 90.00
_cell_angle_beta 90.00
_cell_angle_gamma 120.00
_space_group_name_H-M_alt 'R -3 m'
_space_group_IT_number 166
_space_group_name_Hall '-R 3 2"'
loop_
_atom_site_label
_atom_site_fract_x
_atom_site_fract_y
_atom_site_fract_z
Ca1 0.0000 0.0000 0.0000
In1 0.0000 0.0000 0.2077
Hg1 0.0000 0.0000 0.4047
```

[12]
# Li4CaIn2Hg
Simulated powder diffractogram, Cu Kα, 1.54184 Å. Input: a structure optimized by DFT (GGA-PBE).

Top 8 peaks for 10 to 90 degrees two-theta, low angle first:
- 10.65 deg, 8.308 Å, rel. 21, (0 0 3)
- 21.40 deg, 4.151 Å, rel. 19, (1 0 1)
- 25.53 deg, 3.489 Å, rel. 100, (1 0 4)
- 35.86 deg, 2.504 Å, rel. 47, (0 1 8)
- 36.98 deg, 2.431 Å, rel. 45, (1 1 0)
- 45.48 deg, 1.994 Å, rel. 22, (0 2 4)
- 52.45 deg, 1.744 Å, rel. 19, (2 0 8)
- 58.44 deg, 1.579 Å, rel. 20, (1 1 12)

Structural model:
```
data_Li4CaIn2Hg
_cell_length_a 4.8616
_cell_length_b 4.8616
_cell_length_c 24.9253
_cell_angle_alpha 90.00
_cell_angle_beta 90.00
_cell_angle_gamma 120.00
_space_group_name_H-M_alt 'R -3 m'
_space_group_IT_number 166
_space_group_name_Hall '-R 3 2"'
loop_
_atom_site_label
_atom_site_fract_x
_atom_site_fract_y
_atom_site_fract_z
Li1 0.0000 0.0000 0.1072
Li2 0.0000 0.0000 0.3665
Ca1 0.0000 0.0000 0.5000
In1 0.0000 0.0000 0.2460
Hg1 0.0000 0.0000 0.0000
```